Theoretical powder XRD pattern of BaGa2BO6 for Cu Kα (weighted mean of Kα1 and Kα2), from DFT lattice parameters and positions (GGA-PBE).
Peak positions follow from Bragg's law for the DFT cell and can differ from measured ones.

Structure:
```
data_BaGa2BO6
_chemical_formula_sum 'Ba2 Ga4 B2 O12'
_cell_length_a 7.313
_cell_length_b 7.313
_cell_length_c 6.412
_cell_angle_alpha 115.55
_cell_angle_beta 115.55
_cell_angle_gamma 79.75
_space_group_name_H-M_alt 'P 1'
_space_group_IT_number 1
_space_group_name_Hall 'P 1'
loop_
_atom_site_label
_atom_site_type_symbol
_atom_site_fract_x
_atom_site_fract_y
_atom_site_fract_z
_atom_site_occupancy
Ba1 Ba 0.204 0.796 0.750 1
Ba2 Ba 0.796 0.204 0.250 1
Ga1 Ga 0.221 0.365 0.177 1
Ga2 Ga 0.365 0.221 0.677 1
Ga3 Ga 0.635 0.779 0.323 1
Ga4 Ga 0.779 0.635 0.823 1
B1 B 0.175 0.825 0.250 1
B2 B 0.825 0.175 0.750 1
O1 O 0.002 0.176 0.979 1
O2 O 0.146 0.637 0.262 1
O3 O 0.176 0.002 0.479 1
O4 O 0.276 0.386 0.502 1
O5 O 0.363 0.854 0.238 1
O6 O 0.386 0.276 0.002 1
O7 O 0.614 0.724 0.998 1
O8 O 0.637 0.146 0.762 1
O9 O 0.724 0.614 0.498 1
O10 O 0.824 0.998 0.521 1
O11 O 0.854 0.363 0.738 1
O12 O 0.998 0.824 0.021 1
```

Main lines, sorted by position (2θ from 5° to 70°):
2θ/deg, I/Imax
25.37, 100
25.64, 84
27.03, 100
30.41, 48
33.83, 42
42.22, 40

---

Theoretical powder XRD pattern of Nd4HoTm15 for Cu Kα (weighted mean of Kα1 and Kα2), from DFT lattice parameters and positions (GGA-PBE).
Peak positions follow from Bragg's law for the DFT cell and can differ from measured ones.

Structure:
```
data_Nd4HoTm15
_chemical_formula_sum 'Nd4 Ho1 Tm15'
_cell_length_a 4.995
_cell_length_b 4.995
_cell_length_c 24.867
_cell_angle_alpha 90.00
_cell_angle_beta 90.00
_cell_angle_gamma 90.00
_space_group_name_H-M_alt 'P 1'
_space_group_IT_number 1
_space_group_name_Hall 'P 1'
loop_
_atom_site_label
_atom_site_type_symbol
_atom_site_fract_x
_atom_site_fract_y
_atom_site_fract_z
_atom_site_occupancy
Nd1 Nd 0.000 0.000 0.101 1
Nd2 Nd 0.000 0.000 0.301 1
Nd3 Nd 0.000 0.000 0.699 1
Nd4 Nd 0.000 0.000 0.899 1
Ho1 Ho 0.000 0.000 0.500 1
Tm1 Tm 0.000 0.500 0.000 1
Tm2 Tm 0.000 0.500 0.201 1
Tm3 Tm 0.000 0.500 0.402 1
Tm4 Tm 0.000 0.500 0.598 1
Tm5 Tm 0.000 0.500 0.799 1
Tm6 Tm 0.500 0.000 0.000 1
Tm7 Tm 0.500 0.000 0.201 1
Tm8 Tm 0.500 0.000 0.402 1
Tm9 Tm 0.500 0.000 0.598 1
Tm10 Tm 0.500 0.000 0.799 1
Tm11 Tm 0.500 0.500 0.100 1
Tm12 Tm 0.500 0.500 0.301 1
Tm13 Tm 0.500 0.500 0.500 1
Tm14 Tm 0.500 0.500 0.699 1
Tm15 Tm 0.500 0.500 0.900 1
```

Main lines, sorted by position (2θ from 5° to 70°):
2θ/deg, I/Imax
31.06, 100
35.96, 34
36.12, 17
51.89, 24
61.60, 29
61.82, 14

---

Theoretical powder XRD pattern of PmPuSc for Cu Kα (weighted mean of Kα1 and Kα2), from DFT lattice parameters and positions (GGA-PBE).
Peak positions follow from Bragg's law for the DFT cell and can differ from measured ones.

Structure:
```
data_PmPuSc
_chemical_formula_sum 'Pm4 Pu4 Sc4'
_cell_length_a 3.268
_cell_length_b 3.502
_cell_length_c 27.163
_cell_angle_alpha 90.00
_cell_angle_beta 90.00
_cell_angle_gamma 90.00
_space_group_name_H-M_alt 'P 1'
_space_group_IT_number 1
_space_group_name_Hall 'P 1'
loop_
_atom_site_label
_atom_site_type_symbol
_atom_site_fract_x
_atom_site_fract_y
_atom_site_fract_z
_atom_site_occupancy
Pm1 Pm 0.203 0.001 0.134 1
Pm2 Pm 0.297 0.999 0.634 1
Pm3 Pm 0.703 0.499 0.866 1
Pm4 Pm 0.797 0.501 0.366 1
Pu1 Pu 0.138 0.997 0.772 1
Pu2 Pu 0.362 0.003 0.272 1
Pu3 Pu 0.638 0.503 0.228 1
Pu4 Pu 0.862 0.497 0.728 1
Sc1 Sc 0.192 0.000 0.960 1
Sc2 Sc 0.308 0.000 0.460 1
Sc3 Sc 0.692 0.500 0.040 1
Sc4 Sc 0.808 0.500 0.540 1
```

Main lines, sorted by position (2θ from 5° to 70°):
2θ/deg, I/Imax
6.51, 100
26.25, 7
32.32, 18
33.83, 12
37.65, 13
38.24, 7

---

Theoretical powder XRD pattern of Sr2Li3Ag4 for Cu Kα (weighted mean of Kα1 and Kα2), from DFT lattice parameters and positions (GGA-PBE).
Peak positions follow from Bragg's law for the DFT cell and can differ from measured ones.

Structure:
```
data_Sr2Li3Ag4
_chemical_formula_sum 'Sr4 Li6 Ag8'
_cell_length_a 8.789
_cell_length_b 8.789
_cell_length_c 8.128
_cell_angle_alpha 90.00
_cell_angle_beta 90.00
_cell_angle_gamma 138.56
_space_group_name_H-M_alt 'P 1'
_space_group_IT_number 1
_space_group_name_Hall 'P 1'
loop_
_atom_site_label
_atom_site_type_symbol
_atom_site_fract_x
_atom_site_fract_y
_atom_site_fract_z
_atom_site_occupancy
Sr1 Sr 0.112 0.888 0.912 1
Sr2 Sr 0.388 0.612 0.412 1
Sr3 Sr 0.612 0.388 0.588 1
Sr4 Sr 0.888 0.112 0.088 1
Li1 Li 0.000 0.000 0.500 1
Li2 Li 0.027 0.473 0.750 1
Li3 Li 0.473 0.027 0.250 1
Li4 Li 0.500 0.500 0.000 1
Li5 Li 0.527 0.973 0.750 1
Li6 Li 0.973 0.527 0.250 1
Ag1 Ag 0.177 0.823 0.512 1
Ag2 Ag 0.191 0.309 0.750 1
Ag3 Ag 0.309 0.191 0.250 1
Ag4 Ag 0.323 0.677 0.012 1
Ag5 Ag 0.677 0.323 0.988 1
Ag6 Ag 0.691 0.809 0.750 1
Ag7 Ag 0.809 0.691 0.250 1
Ag8 Ag 0.823 0.177 0.488 1
```

Main lines, sorted by position (2θ from 5° to 70°):
2θ/deg, I/Imax
24.26, 52
24.43, 48
32.71, 100
34.87, 35
36.38, 66
53.47, 32

---

> Number 3 is which compound?

PmPuSc